Record 1
Structure and theoretical PXRD pattern of Li3CrO3 (the GGA+U geometry in the Materials Project; Cu Kα (weighted mean of Kα1 and Kα2)).
Peak positions follow from Bragg's law for the DFT cell and can differ from measured ones.

Top 10 peaks for 2θ from 10° to 90°, most intense first:
hkl 1 1 2, d = 2.384 Å, I = 100.0; hkl 1 0 1, d = 4.257 Å, I = 90.3; hkl 0 0 2, d = 4.906 Å, I = 71.2; hkl 1 1 4, d = 1.824 Å, I = 65.7; hkl 3 0 0, d = 1.575 Å, I = 30.6; hkl 1 0 0, d = 4.725 Å, I = 18.7; hkl 1 0 3, d = 2.689 Å, I = 17.9; hkl 2 -1 6, d = 1.403 Å, I = 15.2; hkl 2 1 1, d = 1.757 Å, I = 14.8; hkl 1 0 2, d = 3.403 Å, I = 14.3

Lattice parameters (Å, degrees): 5.4560 5.4560 9.8118 90.00 90.00 120.00
Space group P-31c (No. 163)
Unique sites:
Li: 0.0568 0.3771 0.4222
Cr: 0.0000 0.0000 0.2500
Cr: 0.3333 0.6667 0.7500
O: 0.0437 0.3380 0.6318



Record 2
Structure and theoretical PXRD pattern of Li5Cr4O8 (the GGA+U geometry in the Materials Project; Cu Kα (weighted mean of Kα1 and Kα2)).
Peak positions follow from Bragg's law for the DFT cell and can differ from measured ones.

Top 10 peaks for 2θ from 10° to 90°, most intense first:
hkl 0 0 2, d = 4.982 Å, I = 100.0; hkl 1 1 1, d = 4.592 Å, I = 95.8; hkl 2 2 3, d = 2.041 Å, I = 95.6; hkl 1 3 2, d = 2.589 Å, I = 83.0; hkl 0 4 1, d = 2.553 Å, I = 66.3; hkl 0 4 3, d = 2.068 Å, I = 61.0; hkl 2 2 4, d = 1.794 Å, I = 52.5; hkl 2 2 2, d = 2.296 Å, I = 50.1; hkl 2 2 1, d = 2.504 Å, I = 42.8; hkl 0 2 1, d = 4.670 Å, I = 41.1

Lattice parameters (Å, degrees): 5.9341 10.5744 9.9634 90.00 90.00 90.00
Space group Cmc2_1 (No. 36)
Unique sites:
Li: 0.0000 0.0110 0.0000
Li: 0.0000 0.2052 0.9365
Li: 0.0000 0.3163 0.7098
Li: 0.2195 0.3951 0.9239
Cr: 0.0000 0.1829 0.2009
Cr: 0.0000 0.3381 0.4603
Cr: 0.2476 0.4316 0.2009
O: 0.0000 0.0176 0.3113
O: 0.0000 0.1438 0.5880
O: 0.0000 0.3447 0.0867
O: 0.0000 0.4877 0.8125
O: 0.2372 0.2688 0.3190
O: 0.2377 0.0942 0.0848